NaPdPt: calculated PXRD pattern (Cu Kα (weighted mean of Kα1 and Kα2)), based on the PBE geometry in OQMD.
Neutral-atom scattering factors, no anomalous dispersion.

Structural model:
Cell lengths 6.2260, 6.2260, 6.2260 Å; angles 90.00, 90.00, 90.00 degrees
Fractional positions:
Na 0.0000 0.0000 0.0000
Na 0.0000 0.5000 0.5000
Na 0.5000 0.0000 0.5000
Na 0.5000 0.5000 0.0000
Pd 0.2500 0.2500 0.2500
Pd 0.2500 0.7500 0.7500
Pd 0.7500 0.2500 0.7500
Pd 0.7500 0.7500 0.2500
Pt 0.0000 0.0000 0.5000
Pt 0.0000 0.5000 0.0000
Pt 0.5000 0.0000 0.0000
Pt 0.5000 0.5000 0.5000

Main lines, low angle first (2θ from 10° to 80°):
- 2θ 24.8, intensity 942, hkl 1 1 1
- 2θ 28.7, intensity 141, hkl 2 0 0
- 2θ 41.0, intensity 1000, hkl 2 2 0
- 2θ 48.5, intensity 471, hkl 3 1 1
- 2θ 59.4, intensity 167, hkl 4 0 0
- 2θ 65.3, intensity 196, hkl 3 3 1
- 2θ 67.3, intensity 53, hkl 4 2 0
- 2θ 74.7, intensity 337, hkl 4 2 2

***

HgAu2F8: calculated PXRD pattern (Cu Kα (weighted mean of Kα1 and Kα2)), based on the PBE geometry in OQMD.
Neutral-atom scattering factors, no anomalous dispersion.

Structural model:
Cell lengths 5.4930, 5.4930, 10.2840 Å; angles 90.00, 90.00, 90.00 degrees
Fractional positions:
Hg 0.0000 0.0000 0.2500
Hg 0.0000 0.0000 0.7500
Au 0.0000 0.5000 0.0000
Au 0.0000 0.5000 0.5000
Au 0.5000 0.0000 0.0000
Au 0.5000 0.0000 0.5000
F 0.1844 0.3225 0.1328
F 0.1844 0.3225 0.8672
F 0.1844 0.6775 0.3672
F 0.1844 0.6775 0.6328
F 0.3225 0.1844 0.3672
F 0.3225 0.1844 0.6328
F 0.3225 0.8156 0.1328
F 0.3225 0.8156 0.8672
F 0.6775 0.1844 0.1328
F 0.6775 0.1844 0.8672
F 0.6775 0.8156 0.3672
F 0.6775 0.8156 0.6328
F 0.8156 0.3225 0.3672
F 0.8156 0.3225 0.6328
F 0.8156 0.6775 0.1328
F 0.8156 0.6775 0.8672

Main lines, low angle first (2θ from 10° to 80°):
- 2θ 16.1, intensity 212, hkl 1 0 0
- 2θ 23.7, intensity 182, hkl 1 0 2
- 2θ 28.8, intensity 1000, hkl 1 1 2
- 2θ 32.6, intensity 251, hkl 2 0 0
- 2θ 46.8, intensity 167, hkl 2 2 0
- 2θ 48.5, intensity 328, hkl 2 0 4
- 2θ 55.9, intensity 332, hkl 3 1 2
- 2θ 58.9, intensity 143, hkl 1 1 6

***

Er2B4Mo3: calculated PXRD pattern (Cu Kα (weighted mean of Kα1 and Kα2)), based on the PBE geometry in OQMD.
Neutral-atom scattering factors, no anomalous dispersion.

Structural model:
Cell lengths 6.2873, 6.3638, 6.1339 Å; angles 90.00, 106.53, 90.00 degrees
Fractional positions:
Er 0.1915 0.1722 0.0884
Er 0.1915 0.3278 0.5884
Er 0.8085 0.6722 0.4116
Er 0.8085 0.8278 0.9116
B 0.0803 0.5319 0.8996
B 0.0803 0.9681 0.3996
B 0.4977 0.6060 0.6105
B 0.4977 0.8940 0.1105
B 0.5023 0.1060 0.8895
B 0.5023 0.3940 0.3895
B 0.9197 0.0319 0.6004
B 0.9197 0.4681 0.1004
Mo 0.2585 0.6797 0.2496
Mo 0.2585 0.8203 0.7496
Mo 0.5000 0.0000 0.5000
Mo 0.5000 0.5000 0.0000
Mo 0.7415 0.1797 0.2504
Mo 0.7415 0.3203 0.7504

Main lines, low angle first (2θ from 10° to 80°):
- 2θ 29.6, intensity 647, hkl 2 0 0
- 2θ 32.0, intensity 849, hkl 0 2 1
- 2θ 33.6, intensity 601, hkl 0 1 2
- 2θ 36.1, intensity 540, hkl 2 0 -2
- 2θ 40.3, intensity 917, hkl 1 1 2
- 2θ 40.9, intensity 1000, hkl 2 2 -1
- 2θ 41.3, intensity 720, hkl 2 2 0
- 2θ 45.5, intensity 614, hkl 0 3 1